[1]
Theoretical powder diffraction line list of Ac5IrPd2 for Cu Kα, from a GGA-PBE-relaxed structure.
Intensities are scaled so that the largest is 100.

Atomic structure:
```
Ac5IrPd2
1.0
6.058 0.000 0.000
0.000 14.802 0.000
-3.027 0.000 6.885
Ac Ir Pd
10 2 4
Cartesian
0.001 1.775 0.780 Ac
0.001 5.626 0.780 Ac
0.003 11.101 3.659 Ac
-0.002 1.122 4.660 Ac
-0.002 6.279 4.660 Ac
3.032 8.523 2.225 Ac
3.032 13.680 2.225 Ac
3.028 3.700 3.226 Ac
3.030 9.176 6.105 Ac
3.030 13.027 6.105 Ac
-0.001 3.700 2.980 Ir
3.032 11.101 3.905 Ir
0.003 8.290 2.178 Pd
0.003 13.913 2.178 Pd
3.027 0.889 4.707 Pd
3.027 6.512 4.707 Pd
```

Main lines, low angle first (2θ from 10° to 90°):
2θ = 15.98°, I 38
2θ = 22.17°, I 40
2θ = 24.14°, I 38
2θ = 27.36°, I 46
2θ = 29.49°, I 100
2θ = 31.69°, I 81
2θ = 43.84°, I 68
2θ = 47.53°, I 36

[2]
Theoretical powder diffraction line list of Ac9Ir4Pd2 for Cu Kα, from a GGA-PBE-relaxed structure.
Intensities are scaled so that the largest is 100.

Atomic structure:
```
Ac9Ir4Pd2
1.0
7.549 0.000 0.000
-3.775 6.538 0.000
0.000 0.000 21.050
Ac Ir Pd
18 8 4
Cartesian
-1.266 2.193 5.262 Ac
-2.509 4.345 15.787 Ac
-1.237 2.314 19.328 Ac
-2.389 4.310 8.803 Ac
2.532 0.000 5.262 Ac
1.266 2.193 15.787 Ac
1.237 2.314 8.803 Ac
-1.152 6.452 19.328 Ac
2.622 0.086 12.247 Ac
1.386 2.228 1.722 Ac
2.389 4.310 19.328 Ac
1.152 6.452 8.803 Ac
4.927 0.086 1.722 Ac
2.538 4.224 12.247 Ac
5.017 0.000 15.787 Ac
2.509 4.345 5.262 Ac
6.164 2.228 12.247 Ac
5.011 4.224 1.722 Ac
0.000 4.359 0.127 Ir
0.000 4.359 6.893 Ir
0.000 4.359 10.652 Ir
0.000 4.359 17.418 Ir
3.775 2.179 3.632 Ir
3.775 2.179 10.398 Ir
3.775 2.179 14.157 Ir
3.775 2.179 20.923 Ir
0.000 0.000 3.442 Pd
0.000 0.000 7.083 Pd
0.000 0.000 13.967 Pd
0.000 0.000 17.608 Pd
```

Main lines, low angle first (2θ from 10° to 90°):
2θ = 26.82°, I 100
2θ = 34.91°, I 66
2θ = 41.43°, I 47
2θ = 45.63°, I 24
2θ = 50.05°, I 18
2θ = 55.27°, I 18
2θ = 68.69°, I 20
2θ = 71.37°, I 16

[3]
Theoretical powder diffraction line list of Ac8Ir3Pd for Cu Kα, from a GGA-PBE-relaxed structure.
Intensities are scaled so that the largest is 100.

Atomic structure:
```
Ac8Ir3Pd
1.0
7.281 -4.435 0.000
7.281 4.435 0.000
-4.529 0.000 7.180
Ac Ir Pd
8 3 1
Cartesian
3.746 2.284 5.388 Ac
2.384 0.000 1.833 Ac
0.340 0.000 5.274 Ac
6.286 2.284 1.792 Ac
3.746 -2.284 5.388 Ac
9.692 0.000 1.906 Ac
7.648 0.000 5.347 Ac
6.286 -2.284 1.792 Ac
0.000 0.000 0.000 Ir
1.376 2.218 3.590 Ir
1.376 -2.218 3.590 Ir
7.281 0.000 0.000 Pd
```

Main lines, low angle first (2θ from 10° to 90°):
2θ = 13.02°, I 44
2θ = 24.74°, I 30
2θ = 29.00°, I 50
2θ = 29.15°, I 100
2θ = 40.66°, I 63
2θ = 42.49°, I 35
2θ = 50.73°, I 25
2θ = 67.07°, I 20

[4]
Theoretical powder diffraction line list of Ac7Ir3Pd for Cu Kα, from a GGA-PBE-relaxed structure.
Intensities are scaled so that the largest is 100.

Atomic structure:
```
Ac7Ir3Pd
1.0
4.797 -5.649 0.000
4.797 5.649 0.000
-2.600 0.000 6.934
Ac Ir Pd
7 3 1
Cartesian
0.000 0.000 0.000 Ac
2.554 2.359 1.860 Ac
1.262 0.000 5.281 Ac
4.441 2.359 5.074 Ac
2.554 -2.359 1.860 Ac
5.733 0.000 1.654 Ac
4.441 -2.359 5.074 Ac
4.797 2.530 0.000 Ir
3.498 0.000 3.467 Ir
4.797 -2.530 0.000 Ir
-1.300 0.000 3.467 Pd
```

Main lines, low angle first (2θ from 10° to 90°):
2θ = 26.39°, I 93
2θ = 30.30°, I 89
2θ = 31.53°, I 100
2θ = 31.69°, I 70
2θ = 40.38°, I 36
2θ = 40.89°, I 45
2θ = 41.69°, I 35
2θ = 44.02°, I 45

[5]
Theoretical powder diffraction line list of Ac7IrPd4 for Cu Kα, from a GGA-PBE-relaxed structure.
Intensities are scaled so that the largest is 100.

Atomic structure:
```
Ac7IrPd4
1.0
7.236 -2.166 0.000
7.236 2.166 0.000
-3.516 0.000 12.816
Ac Ir Pd
7 1 4
Cartesian
0.000 0.000 0.000 Ac
0.144 0.000 10.924 Ac
2.757 0.000 5.333 Ac
6.652 0.000 3.496 Ac
6.622 0.000 7.484 Ac
10.425 0.000 1.798 Ac
10.736 0.000 8.810 Ac
1.331 0.000 2.677 Ir
1.446 0.000 8.142 Pd
5.181 0.000 0.776 Pd
5.221 0.000 10.443 Pd
12.167 0.000 5.867 Pd
```

Main lines, low angle first (2θ from 10° to 90°):
2θ = 27.21°, I 93
2θ = 27.39°, I 82
2θ = 27.75°, I 78
2θ = 29.09°, I 100
2θ = 30.24°, I 57
2θ = 31.98°, I 52
2θ = 40.60°, I 47
2θ = 41.71°, I 64

[6]
Theoretical powder diffraction line list of Ac4IrPd2 for Cu Kα, from a GGA-PBE-relaxed structure.
Intensities are scaled so that the largest is 100.

Atomic structure:
```
Ac4IrPd2
1.0
15.882 0.000 0.000
0.000 4.469 0.000
-3.561 0.000 6.687
Ac Ir Pd
8 2 4
Cartesian
0.927 0.000 1.846 Ac
-0.838 2.235 5.387 Ac
5.218 0.000 1.300 Ac
3.452 2.235 4.841 Ac
8.868 2.235 1.846 Ac
7.103 0.000 5.387 Ac
13.159 2.235 1.300 Ac
11.393 0.000 4.841 Ac
0.000 2.235 0.000 Ir
7.941 0.000 0.000 Ir
1.235 0.000 4.969 Pd
3.145 2.235 1.718 Pd
9.175 2.235 4.969 Pd
11.086 0.000 1.718 Pd
```

Main lines, low angle first (2θ from 10° to 90°):
2θ = 13.27°, I 22
2θ = 26.42°, I 100
2θ = 26.66°, I 26
2θ = 26.84°, I 22
2θ = 34.54°, I 32
2θ = 34.70°, I 44
2θ = 40.36°, I 24
2θ = 41.05°, I 44